# Dy7HoTh3
Computed X-ray powder pattern, Cu Kα, 1.54184 Å. Input: DFT lattice parameters and positions (GGA-PBE).

Cell and atoms:
Lattice parameters (Å, degrees): 6.4324 6.6814 8.6254 101.36 97.08 96.77
Space group P-1 (No. 2)
Inequivalent atoms, fractional coordinates:
Dy1 0.0000 0.0000 0.0000 x1
Dy2 0.0713 0.7146 0.6443 x2
Dy3 0.2063 0.2305 0.7049 x2
Dy4 0.4920 0.7312 0.9253 x2
Ho1 0.0000 0.5000 0.0000 x1
Th1 0.3242 0.9469 0.3349 x2
Th2 0.5000 0.5000 0.5000 x1

Main lines, in order of falling intensity (2θ from 10° to 90°):
two_theta	intensity	index
31.95	100	1 2 -1
32.34	67	-1 2 1
32.12	60	0 1 -3
32.88	59	2 0 -2
33.59	36	1 1 2
31.76	31	2 0 1
33.90	25	1 -2 2
31.08	23	0 2 -2
27.77	16	0 1 2
29.63	14	2 -1 0